Record 1
The following is a theoretical XRD peak list of K3UAg2Br9. It was derived from a GGA-PBE-relaxed structure, using Cu Kα (λ = 1.5418 Å).
Lines closer than 0.1° are merged.

Crystal structure
Unit cell a=7.964 b=7.964 c=9.989 alpha=90.00 beta=90.00 gamma=120.00
Fractional coordinates of all 15 atoms:
K  0.000  0.000  0.000
K  0.333  0.667  0.758
K  0.667  0.333  0.242
U  0.000  0.000  0.500
Ag  0.333  0.667  0.153
Ag  0.667  0.333  0.847
Br  0.000  0.500  0.000
Br  0.163  0.327  0.336
Br  0.163  0.837  0.336
Br  0.327  0.163  0.664
Br  0.500  0.000  0.000
Br  0.500  0.500  0.000
Br  0.673  0.837  0.336
Br  0.837  0.163  0.664
Br  0.837  0.673  0.664

The 10 most intense peaks (2θ from 10° to 90°), by intensity:
d/Å, intensity
5.676, 100
2.838, 80
2.554, 33
1.991, 30
2.522, 26
2.023, 26
1.630, 15
3.260, 13
1.892, 13
3.982, 13


Record 2
The following is a theoretical XRD peak list of K2VAgBr. It was derived from a GGA-PBE-relaxed structure, using Cu Kα (λ = 1.5418 Å).
Lines closer than 0.1° are merged.

Crystal structure
Unit cell a=6.596 b=6.596 c=5.230 alpha=90.00 beta=90.00 gamma=90.00
Fractional coordinates of all 5 atoms:
K  0.000  0.500  0.000
K  0.500  0.000  0.000
V  0.000  0.000  0.500
Ag  0.500  0.500  0.000
Br  0.500  0.500  0.500

The 10 most intense peaks (2θ from 10° to 90°), by intensity:
d/Å, intensity
3.298, 100
6.596, 96
4.664, 57
2.049, 49
2.332, 37
1.740, 29
2.950, 28
2.615, 26
3.481, 23
4.098, 21


Record 3
The following is a theoretical XRD peak list of KZn4Ag3Br12. It was derived from a GGA-PBE-relaxed structure, using Cu Kα (λ = 1.5418 Å).
Lines closer than 0.1° are merged.

Crystal structure
Unit cell a=9.272 b=9.272 c=9.272 alpha=105.61 beta=105.61 gamma=105.61
Fractional coordinates of all 20 atoms:
K  0.000  0.000  0.000
Zn  0.062  0.500  0.938
Zn  0.500  0.500  0.500
Zn  0.500  0.938  0.062
Zn  0.938  0.062  0.500
Ag  0.000  0.554  0.446
Ag  0.446  0.000  0.554
Ag  0.554  0.446  0.000
Br  0.053  0.661  0.780
Br  0.097  0.903  0.500
Br  0.220  0.339  0.947
Br  0.339  0.947  0.220
Br  0.341  0.659  0.500
Br  0.500  0.097  0.903
Br  0.500  0.341  0.659
Br  0.659  0.500  0.341
Br  0.661  0.780  0.053
Br  0.780  0.053  0.661
Br  0.903  0.500  0.097
Br  0.947  0.220  0.339

The 10 most intense peaks (2θ from 10° to 90°), by intensity:
d/Å, intensity
2.974, 100
4.151, 85
4.421, 77
3.638, 41
2.163, 40
2.248, 37
2.214, 36
7.385, 33
1.733, 33
1.802, 29


Record 4
The following is a theoretical XRD peak list of KZnAgBr4. It was derived from a GGA-PBE-relaxed structure, using Cu Kα (λ = 1.5418 Å).
Lines closer than 0.1° are merged.

Crystal structure
Unit cell a=6.751 b=7.710 c=8.961 alpha=90.00 beta=103.36 gamma=90.00
Fractional coordinates of all 14 atoms:
K  0.226  0.250  0.055
K  0.774  0.750  0.945
Zn  0.232  0.750  0.312
Zn  0.768  0.250  0.688
Ag  0.161  0.250  0.520
Ag  0.839  0.750  0.480
Br  0.019  0.008  0.717
Br  0.019  0.492  0.717
Br  0.354  0.750  0.080
Br  0.476  0.750  0.555
Br  0.524  0.250  0.445
Br  0.646  0.250  0.920
Br  0.981  0.508  0.283
Br  0.981  0.992  0.283

The 10 most intense peaks (2θ from 10° to 90°), by intensity:
d/Å, intensity
8.718, 100
2.888, 95
2.775, 61
3.032, 57
3.325, 56
1.928, 46
3.855, 43
1.944, 40
2.500, 38
3.022, 37


Record 5
The following is a theoretical XRD peak list of La2AgBr2. It was derived from a GGA-PBE-relaxed structure, using Cu Kα (λ = 1.5418 Å).
Lines closer than 0.1° are merged.

Crystal structure
Unit cell a=11.453 b=11.453 c=11.453 alpha=21.80 beta=21.80 gamma=21.80
Fractional coordinates of all 5 atoms:
La  0.110  0.110  0.110
La  0.890  0.890  0.890
Ag  0.500  0.500  0.500
Br  0.278  0.278  0.278
Br  0.722  0.722  0.722

The 10 most intense peaks (2θ from 10° to 90°), by intensity:
d/Å, intensity
3.274, 100
2.166, 38
2.126, 34
2.795, 31
2.500, 26
1.412, 19
1.807, 18
1.387, 15
1.243, 11
1.517, 9


Record 6
The following is a theoretical XRD peak list of Li2Ag3Br6. It was derived from a GGA-PBE-relaxed structure, using Cu Kα (λ = 1.5418 Å).
Lines closer than 0.1° are merged.

Crystal structure
Unit cell a=4.249 b=4.249 c=20.535 alpha=90.00 beta=90.00 gamma=120.00
Fractional coordinates of all 11 atoms:
Li  0.000  0.000  0.000
Li  0.333  0.667  0.388
Ag  0.333  0.667  0.808
Ag  0.667  0.333  0.195
Ag  0.667  0.333  0.617
Br  0.333  0.667  0.248
Br  0.333  0.667  0.569
Br  0.333  0.667  0.933
Br  0.667  0.333  0.068
Br  0.667  0.333  0.407
Br  0.667  0.333  0.749

The 10 most intense peaks (2θ from 10° to 90°), by intensity:
d/Å, intensity
3.679, 100
2.124, 85
1.939, 66
3.241, 56
3.464, 51
2.294, 46
4.107, 33
1.188, 26
2.991, 25
1.432, 24